1.
The following is a calculated PXRD pattern of Cs3CoBr5. It was derived from a crystal structure in the Materials Project, relaxed with PBE, using CuKα.
Lines closer than 0.1° are merged.

Largest 12 diffraction maxima, in order of rising 2θ, 5° ≤ 2θ ≤ 70°:
2theta	I_rel
21.3	20
25.4	16
26.6	100
28.4	43
34.7	13
37.1	10
40.6	11
41.5	10
45.9	10
47.4	9
51.4	11
52.8	17

Crystal structure
Cell: 10.3809 10.3809 10.3809 Å, 122.87 122.87 85.10°
Sites, in units of the cell vectors:
Cs1 0.1667 0.6667 0.8333
Cs2 0.2500 0.2500 0.0000
Cs3 0.3333 0.1667 0.5000
Cs4 0.6667 0.8333 0.5000
Cs5 0.7500 0.7500 0.0000
Cs6 0.8333 0.3333 0.1667
Co1 0.2500 0.7500 0.5000
Co2 0.7500 0.2500 0.5000
Br1 0.0000 0.0000 0.0000
Br2 0.0192 0.7934 0.5000
Br3 0.2066 0.7066 0.2258
Br4 0.2934 0.5192 0.5000
Br5 0.4808 0.9808 0.7742
Br6 0.5000 0.5000 0.0000
Br7 0.5192 0.0192 0.2258
Br8 0.7066 0.4808 0.5000
Br9 0.7934 0.2934 0.7742
Br10 0.9808 0.2066 0.5000



2.
The following is a calculated PXRD pattern of Cs2CoBr4. It was derived from a crystal structure in the Materials Project, relaxed with PBE, using CuKα.
Lines closer than 0.1° are merged.

Largest 12 diffraction maxima, in order of rising 2θ, 5° ≤ 2θ ≤ 70°:
2theta	I_rel
22.1	53
22.6	58
25.4	51
26.3	100
26.8	31
27.3	77
29.1	88
30.9	36
32.0	39
34.3	36
34.9	29
46.1	34

Crystal structure
Cell: 10.4656 7.8833 14.0385 Å, 90.00 90.00 90.00°
Sites, in units of the cell vectors:
Cs1 0.0154 0.2500 0.1756
Cs2 0.1505 0.7500 0.4120
Cs3 0.3495 0.2500 0.9120
Cs4 0.4846 0.7500 0.6756
Cs5 0.5154 0.2500 0.3244
Cs6 0.6505 0.7500 0.0880
Cs7 0.8495 0.2500 0.5880
Cs8 0.9846 0.7500 0.8244
Co1 0.2328 0.7500 0.0770
Co2 0.2672 0.2500 0.5770
Co3 0.7328 0.7500 0.4230
Co4 0.7672 0.2500 0.9230
Br1 0.0063 0.7500 0.0888
Br2 0.1873 0.0039 0.6552
Br3 0.1873 0.4961 0.6552
Br4 0.1888 0.2500 0.4163
Br5 0.3112 0.7500 0.9163
Br6 0.3127 0.5039 0.1552
Br7 0.3127 0.9961 0.1552
Br8 0.4937 0.2500 0.5888
Br9 0.5063 0.7500 0.4112
Br10 0.6873 0.0039 0.8448
Br11 0.6873 0.4961 0.8448
Br12 0.6888 0.2500 0.0837
Br13 0.8112 0.7500 0.5837
Br14 0.8127 0.5039 0.3448
Br15 0.8127 0.9961 0.3448
Br16 0.9937 0.2500 0.9112



3.
The following is a calculated PXRD pattern of CoH6Br2. It was derived from a crystal structure in the Materials Project, relaxed with PBE, using CuKα.
Lines closer than 0.1° are merged.

Largest 12 diffraction maxima, in order of rising 2θ, 5° ≤ 2θ ≤ 70°:
2theta	I_rel
10.0	49
12.1	74
20.1	100
21.6	91
28.8	48
31.5	19
32.9	27
35.4	21
40.0	21
44.1	20
47.7	24
50.5	22

Crystal structure
Cell: 7.3459 4.9675 8.8889 Å, 90.00 96.30 90.00°
Sites, in units of the cell vectors:
Co1 0.0000 0.0000 0.0000
Co2 0.0000 0.5000 0.0000
H1 0.0468 0.2500 0.8356
H2 0.0537 0.7500 0.5679
H3 0.0620 0.2500 0.1160
H4 0.1376 0.2500 0.9000
H5 0.3323 0.2500 0.5439
H6 0.4287 0.2500 0.5252
H7 0.5713 0.7500 0.4748
H8 0.6677 0.7500 0.4561
H9 0.8624 0.7500 0.1000
H10 0.9380 0.7500 0.8840
H11 0.9463 0.2500 0.4321
H12 0.9532 0.7500 0.1644
Br1 0.1619 0.7500 0.4418
Br2 0.2785 0.7500 0.0446
Br3 0.7215 0.2500 0.9554
Br4 0.8381 0.2500 0.5582



4.
The following is a calculated PXRD pattern of TlCoBr6N6. It was derived from a crystal structure in the Materials Project, relaxed with PBE, using CuKα.
Lines closer than 0.1° are merged.

Largest 12 diffraction maxima, in order of rising 2θ, 5° ≤ 2θ ≤ 70°:
2theta	I_rel
16.4	21
20.1	37
23.2	25
27.3	40
28.5	100
29.7	24
33.1	31
34.1	51
37.1	34
42.6	22
53.5	29
64.4	25

Crystal structure
Cell: 10.8315 10.8315 10.8315 Å, 90.00 90.00 90.00°
Sites, in units of the cell vectors:
Tl1 0.0000 0.0000 0.0000
Tl2 0.0000 0.5000 0.5000
Tl3 0.5000 0.0000 0.5000
Tl4 0.5000 0.5000 0.0000
Co1 0.0000 0.0000 0.5000
Co2 0.0000 0.5000 0.0000
Co3 0.5000 0.0000 0.0000
Co4 0.5000 0.5000 0.5000
Br1 0.0555 0.7338 0.1869
Br2 0.0555 0.7662 0.6869
Br3 0.1869 0.0555 0.7338
Br4 0.1869 0.4445 0.2338
Br5 0.2338 0.1869 0.4445
Br6 0.2338 0.3131 0.9445
Br7 0.2662 0.6869 0.4445
Br8 0.2662 0.8131 0.9445
Br9 0.3131 0.5555 0.7338
Br10 0.3131 0.9445 0.2338
Br11 0.4445 0.2338 0.1869
Br12 0.4445 0.2662 0.6869
Br13 0.5555 0.7338 0.3131
Br14 0.5555 0.7662 0.8131
Br15 0.6869 0.0555 0.7662
Br16 0.6869 0.4445 0.2662
Br17 0.7338 0.1869 0.0555
Br18 0.7338 0.3131 0.5555
Br19 0.7662 0.6869 0.0555
Br20 0.7662 0.8131 0.5555
Br21 0.8131 0.5555 0.7662
Br22 0.8131 0.9445 0.2662
Br23 0.9445 0.2338 0.3131
Br24 0.9445 0.2662 0.8131
N1 0.0487 0.0939 0.6411
N2 0.0487 0.4061 0.1411
N3 0.0939 0.6411 0.0487
N4 0.0939 0.8589 0.5487
N5 0.1411 0.0487 0.4061
N6 0.1411 0.4513 0.9061
N7 0.3589 0.5487 0.4061
N8 0.3589 0.9513 0.9061
N9 0.4061 0.1411 0.0487
N10 0.4061 0.3589 0.5487
N11 0.4513 0.5939 0.6411
N12 0.4513 0.9061 0.1411
N13 0.5487 0.0939 0.8589
N14 0.5487 0.4061 0.3589
N15 0.5939 0.6411 0.4513
N16 0.5939 0.8589 0.9513
N17 0.6411 0.0487 0.0939
N18 0.6411 0.4513 0.5939
N19 0.8589 0.5487 0.0939
N20 0.8589 0.9513 0.5939
N21 0.9061 0.1411 0.4513
N22 0.9061 0.3589 0.9513
N23 0.9513 0.5939 0.8589
N24 0.9513 0.9061 0.3589



5.
The following is a calculated PXRD pattern of Pr3CoBr3. It was derived from a crystal structure in the Materials Project, relaxed with PBE, using CuKα.
Lines closer than 0.1° are merged.

Largest 12 diffraction maxima, in order of rising 2θ, 5° ≤ 2θ ≤ 70°:
2theta	I_rel
10.4	33
27.8	27
29.8	100
35.1	17
38.2	7
42.6	68
49.2	5
52.9	22
54.0	4
56.3	15
60.8	12
61.9	9

Crystal structure
Cell: 10.3922 10.3922 10.3922 Å, 109.47 109.47 109.47°
Sites, in units of the cell vectors:
Pr1 0.0182 0.0365 0.2682
Pr2 0.0182 0.4818 0.7500
Pr3 0.0365 0.2682 0.0182
Pr4 0.2318 0.2682 0.7500
Pr5 0.2318 0.4635 0.4818
Pr6 0.2682 0.0182 0.0365
Pr7 0.2682 0.7500 0.2318
Pr8 0.4635 0.4818 0.2318
Pr9 0.4818 0.2318 0.4635
Pr10 0.4818 0.7500 0.0182
Pr11 0.7500 0.0182 0.4818
Pr12 0.7500 0.2318 0.2682
Co1 0.0000 0.2500 0.5000
Co2 0.2500 0.2500 0.2500
Co3 0.2500 0.5000 0.0000
Co4 0.5000 0.0000 0.2500
Br1 0.2500 0.7576 0.7424
Br2 0.2500 0.9924 0.5076
Br3 0.5076 0.2500 0.9924
Br4 0.5076 0.7576 0.5153
Br5 0.5153 0.5076 0.7576
Br6 0.7424 0.2500 0.7576
Br7 0.7424 0.9924 0.9847
Br8 0.7576 0.5153 0.5076
Br9 0.7576 0.7424 0.2500
Br10 0.9847 0.7424 0.9924
Br11 0.9924 0.5076 0.2500
Br12 0.9924 0.9847 0.7424



6.
The following is a calculated PXRD pattern of Pr6CoBr10. It was derived from a crystal structure in the Materials Project, relaxed with PBE, using CuKα.
Lines closer than 0.1° are merged.

Largest 12 diffraction maxima, in order of rising 2θ, 5° ≤ 2θ ≤ 70°:
2theta	I_rel
10.3	24
10.5	24
11.4	13
12.4	11
29.4	53
29.7	100
40.5	19
41.5	18
42.0	18
43.0	16
43.1	18
44.0	18

Crystal structure
Cell: 7.6893 9.4334 9.6083 Å, 109.78 107.04 97.03°
Sites, in units of the cell vectors:
Pr1 0.0206 0.3967 0.1936
Pr2 0.1212 0.2621 0.5429
Pr3 0.3701 0.6911 0.6449
Pr4 0.6299 0.3089 0.3551
Pr5 0.8788 0.7379 0.4571
Pr6 0.9794 0.6033 0.8064
Co1 0.0000 0.5000 0.5000
Br1 0.0884 0.3288 0.8655
Br2 0.1932 0.1383 0.2338
Br3 0.2578 0.9608 0.5827
Br4 0.3730 0.7789 0.9685
Br5 0.4495 0.5802 0.3257
Br6 0.5505 0.4198 0.6743
Br7 0.6270 0.2211 0.0315
Br8 0.7422 0.0392 0.4173
Br9 0.8068 0.8617 0.7662
Br10 0.9116 0.6712 0.1345



7.
The following is a calculated PXRD pattern of RbCoBr3. It was derived from a crystal structure in the Materials Project, relaxed with PBE, using CuKα.
Lines closer than 0.1° are merged.

Largest 12 diffraction maxima, in order of rising 2θ, 5° ≤ 2θ ≤ 70°:
2theta	I_rel
13.6	24
23.8	6
27.5	9
28.7	18
31.1	100
40.2	31
47.2	6
48.6	26
52.4	22
57.4	15
58.8	15
64.8	7

Crystal structure
Cell: 7.4925 7.4925 6.2183 Å, 90.00 90.00 120.00°
Sites, in units of the cell vectors:
Rb1 0.3333 0.6667 0.2500
Rb2 0.6667 0.3333 0.7500
Co1 0.0000 0.0000 0.0000
Co2 0.0000 0.0000 0.5000
Br1 0.1601 0.3202 0.7500
Br2 0.1601 0.8399 0.7500
Br3 0.3202 0.1601 0.2500
Br4 0.6798 0.8399 0.7500
Br5 0.8399 0.1601 0.2500
Br6 0.8399 0.6798 0.2500



8.
The following is a calculated PXRD pattern of RbCoBr3. It was derived from a crystal structure in the Materials Project, relaxed with PBE, using CuKα.
Lines closer than 0.1° are merged.

Largest 12 diffraction maxima, in order of rising 2θ, 5° ≤ 2θ ≤ 70°:
2theta	I_rel
13.7	26
23.9	6
27.6	9
28.6	18
31.2	100
40.2	29
47.3	6
48.8	27
52.3	19
57.6	14
59.1	18
65.0	6

Crystal structure
Cell: 12.9158 12.9158 6.2436 Å, 90.00 90.00 120.00°
Sites, in units of the cell vectors:
Rb1 0.0002 0.3323 0.0000
Rb2 0.0002 0.6679 0.5000
Rb3 0.3321 0.9998 0.0000
Rb4 0.3321 0.3323 0.5000
Rb5 0.6677 0.9998 0.5000
Rb6 0.6677 0.6679 0.0000
Co1 0.0000 0.0000 0.2373
Co2 0.0000 0.0000 0.7373
Co3 0.3333 0.6667 0.2220
Co4 0.3333 0.6667 0.7220
Co5 0.6667 0.3333 0.2813
Co6 0.6667 0.3333 0.7813
Br1 0.9995 0.1590 0.4875
Br2 0.9995 0.8405 0.9875
Br3 0.1595 0.0005 0.4875
Br4 0.1595 0.1590 0.9875
Br5 0.1748 0.5085 0.4714
Br6 0.1748 0.6664 0.9714
Br7 0.3336 0.5085 0.9714
Br8 0.3336 0.8252 0.4714
Br9 0.4915 0.6664 0.4714
Br10 0.4915 0.8252 0.9714
Br11 0.5075 0.1741 0.5331
Br12 0.5075 0.3333 0.0331
Br13 0.6667 0.1741 0.0331
Br14 0.6667 0.4925 0.5331
Br15 0.8259 0.3333 0.5331
Br16 0.8259 0.4925 0.0331
Br17 0.8410 0.0005 0.9875
Br18 0.8410 0.8405 0.4875



9.
The following is a calculated PXRD pattern of RbCoBr3. It was derived from a crystal structure in the Materials Project, relaxed with PBE, using CuKα.
Lines closer than 0.1° are merged.

Largest 12 diffraction maxima, in order of rising 2θ, 5° ≤ 2θ ≤ 70°:
2theta	I_rel
13.6	28
23.6	6
27.3	9
28.7	17
30.9	100
40.0	29
47.0	7
48.3	26
52.2	19
57.1	13
58.5	15
64.5	6

Crystal structure
Cell: 13.0555 13.0555 6.2304 Å, 90.00 90.00 120.00°
Sites, in units of the cell vectors:
Rb1 0.0000 0.3341 0.0000
Rb2 0.0000 0.6659 0.5000
Rb3 0.3341 0.0000 0.0000
Rb4 0.3341 0.3341 0.5000
Rb5 0.6659 0.0000 0.5000
Rb6 0.6659 0.6659 0.0000
Co1 0.0000 0.0000 0.2828
Co2 0.0000 0.0000 0.7828
Co3 0.3333 0.6667 0.2292
Co4 0.3333 0.6667 0.7292
Co5 0.6667 0.3333 0.2292
Co6 0.6667 0.3333 0.7292
Br1 0.0000 0.1575 0.5345
Br2 0.0000 0.8425 0.0345
Br3 0.1575 0.0000 0.5345
Br4 0.1575 0.1575 0.0345
Br5 0.1760 0.5088 0.4788
Br6 0.1760 0.6672 0.9788
Br7 0.3328 0.5088 0.9788
Br8 0.3328 0.8240 0.4788
Br9 0.4912 0.6672 0.4788
Br10 0.4912 0.8240 0.9788
Br11 0.5088 0.1760 0.4788
Br12 0.5088 0.3328 0.9788
Br13 0.6672 0.1760 0.9788
Br14 0.6672 0.4912 0.4788
Br15 0.8240 0.3328 0.4788
Br16 0.8240 0.4912 0.9788
Br17 0.8425 0.0000 0.0345
Br18 0.8425 0.8425 0.5345